# 1
The following is a theoretical PXRD pattern of CsK2HoP2O8. It was derived from a crystal structure in the Materials Project, relaxed with PBE, using λ = 1.5418 Å (Cu Kα).
Lines closer than 0.1° are merged.

Crystal structure
```
data_CsK2HoP2O8
_chemical_formula_sum 'Cs1 K2 Ho1 P2 O8'
_space_group_name_H-M_alt 'P -3 m 1'
_space_group_IT_number 164
_space_group_name_Hall '-P 3 2"'
_cell_length_a 5.6945
_cell_length_b 5.6945
_cell_length_c 8.1632
_cell_angle_alpha 90.00
_cell_angle_beta 90.00
_cell_angle_gamma 120.00
loop_
_atom_site_label
_atom_site_type_symbol
_atom_site_fract_x
_atom_site_fract_y
_atom_site_fract_z
Cs1 Cs 0.0000 0.0000 0.0000
K1 K 0.3333 0.6667 0.7571
Ho1 Ho 0.0000 0.0000 0.5000
P1 P 0.3333 0.6667 0.2724
O1 O 0.1840 0.3680 0.3383
O2 O 0.3333 0.6667 0.0852
```

Most intense lines, 10 to 90 degrees two-theta, low angle first:
- 18.0 deg, rel. 487
- 28.4 deg, rel. 1000
- 31.4 deg, rel. 591
- 38.6 deg, rel. 117
- 42.8 deg, rel. 372
- 54.1 deg, rel. 295
- 55.4 deg, rel. 209
- 72.9 deg, rel. 133

=====

# 2
The following is a theoretical PXRD pattern of Y2Cr2Fe15. It was derived from a crystal structure in the Materials Project, relaxed with PBE, using λ = 1.5418 Å (Cu Kα).
Lines closer than 0.1° are merged.

Crystal structure
```
data_Y2Cr2Fe15
_chemical_formula_sum 'Y4 Cr4 Fe30'
_space_group_name_H-M_alt 'P 63/m m c'
_space_group_IT_number 194
_space_group_name_Hall '-P 6c 2c'
_cell_length_a 8.3859
_cell_length_b 8.3859
_cell_length_c 8.2984
_cell_angle_alpha 90.00
_cell_angle_beta 90.00
_cell_angle_gamma 120.00
loop_
_atom_site_label
_atom_site_type_symbol
_atom_site_fract_x
_atom_site_fract_y
_atom_site_fract_z
Y1 Y 0.0000 0.0000 0.2500
Y2 Y 0.3333 0.6667 0.2500
Cr1 Cr 0.3333 0.6667 0.6188
Fe1 Fe 0.0000 0.5000 0.0000
Fe2 Fe 0.0397 0.3697 0.7500
Fe3 Fe 0.1665 0.3330 0.0121
```

Most intense lines, 10 to 90 degrees two-theta, low angle first:
- 30.3 deg, rel. 221
- 37.1 deg, rel. 314
- 41.0 deg, rel. 247
- 43.2 deg, rel. 546
- 43.3 deg, rel. 1000
- 43.6 deg, rel. 349
- 48.7 deg, rel. 416
- 79.1 deg, rel. 165

=====

# 3
The following is a theoretical PXRD pattern of Li5SbS. It was derived from a crystal structure in the Materials Project, relaxed with PBE, using λ = 1.5418 Å (Cu Kα).
Lines closer than 0.1° are merged.

Crystal structure
```
data_Li5SbS
_chemical_formula_sum 'Li40 Sb8 S8'
_space_group_name_H-M_alt 'P 1 21/c 1'
_space_group_IT_number 14
_space_group_name_Hall '-P 2ybc'
_cell_length_a 8.393
_cell_length_b 8.146
_cell_length_c 16.473
_cell_angle_alpha 90.00
_cell_angle_beta 94.81
_cell_angle_gamma 90.00
loop_
_atom_site_label
_atom_site_type_symbol
_atom_site_fract_x
_atom_site_fract_y
_atom_site_fract_z
Li1 Li 0.001 0.013 0.108
Li2 Li 0.006 0.688 0.199
Li3 Li 0.014 0.675 0.033
Li4 Li 0.261 0.570 0.748
Li5 Li 0.276 0.122 0.744
Li6 Li 0.284 0.212 0.577
Li7 Li 0.297 0.002 0.412
Li8 Li 0.308 0.670 0.365
Li9 Li 0.382 0.568 0.542
Li10 Li 0.449 0.670 0.153
Sb1 Sb 0.012 0.650 0.857
Sb2 Sb 0.292 0.160 0.917
S1 S 0.206 0.689 0.623
S2 S 0.497 0.622 0.834
```

Most intense lines, 10 to 90 degrees two-theta, low angle first:
- 19.2 deg, rel. 726
- 21.7 deg, rel. 732
- 22.5 deg, rel. 969
- 24.3 deg, rel. 507
- 24.7 deg, rel. 527
- 25.5 deg, rel. 1000
- 27.0 deg, rel. 535
- 40.2 deg, rel. 514